[1]
For UCdHg, a cell relaxed with PBE gives the computed powder X-ray diffraction pattern in this record (Cu Kα, 1.54184 Å).

Structure:
Lattice parameters (Å, degrees): 3.029 17.626 5.078 90.00 90.00 90.00
Space group Cmcm (No. 63)
Unique sites:
U  0.000  0.237  0.250
Cd  0.000  0.440  0.750
Hg  0.000  0.102  0.750

Main lines, by intensity (2θ from 15° to 90°):
d [Å]	two_theta	intensity	index
2.379	37.8	100	1 3 1
2.541	35.3	58	0 0 2
2.938	30.4	30	0 6 0
1.433	65.1	21	1 3 3
1.921	47.3	18	0 6 2
1.301	72.7	15	2 0 2
1.380	67.9	14	1 9 2
1.645	55.9	12	1 9 0
1.411	66.2	9	0 12 1
1.565	59.0	9	1 9 1


[2]
For Pd2I5, a cell relaxed with PBE gives the computed powder X-ray diffraction pattern in this record (Cu Kα, 1.54184 Å).

Structure:
Lattice parameters (Å, degrees): 17.525 6.924 7.652 90.00 105.72 90.00
Space group C2/c (No. 15)
Unique sites:
Pd  0.145  0.238  0.297
I  0.000  0.413  0.250
I  0.097  0.095  0.956
I  0.203  0.417  0.629

Main lines, by intensity (2θ from 15° to 90°):
d [Å]	two_theta	intensity	index
3.057	29.2	100	2 2 -1
3.033	29.5	48	5 1 0
1.996	45.4	35	3 3 1
2.376	37.9	24	1 1 -3
2.351	38.3	24	7 1 -1
5.100	17.4	22	1 1 -1
2.367	38.0	20	4 2 -2
1.990	45.6	18	6 0 2
4.158	21.4	16	3 1 -1
1.672	54.9	16	4 2 3


[3]
For BeCuPbF6, a cell relaxed with PBE gives the computed powder X-ray diffraction pattern in this record (Cu Kα, 1.54184 Å).

Structure:
Lattice parameters (Å, degrees): 4.803 5.334 5.521 87.40 65.55 83.83
Space group P1 (No. 1)
Unique sites:
Be  0.000  0.000  0.000
Cu  0.276  0.027  0.438
Pb  0.582  0.523  0.803
F  0.004  0.317  0.459
F  0.159  0.876  0.179
F  0.276  0.147  0.776
F  0.544  0.739  0.430
F  0.710  0.185  0.112
F  0.954  0.783  0.841

Main lines, by intensity (2θ from 15° to 90°):
d [Å]	two_theta	intensity	index
3.648	24.4	100	0 1 -1
3.497	25.5	56	1 1 1
3.537	25.2	54	1 1 0
5.026	17.6	45	0 0 1
3.214	27.8	40	1 -1 0
3.181	28.1	36	1 -1 1
4.351	20.4	33	1 0 0
2.270	39.7	31	0 1 -2
2.773	32.3	30	1 0 -1
4.274	20.8	27	1 0 1